Starting from a GGA+U-relaxed structure, the powder diffractogram of PmPrWO6 was computed for CuKα.
Kinematic intensities with the Lorentz-polarization factor, no thermal factor.

Principal peaks in the range 2θ from 15° to 90°, low angle first:
- hkl 0 0 2, 18.14°, I = 17
- hkl 1 0 2, 25.61°, I = 100
- hkl 1 1 0, 31.32°, I = 57
- hkl 1 1 2, 36.43°, I = 16
- hkl 2 0 2, 40.88°, I = 28
- hkl 1 1 4, 49.04°, I = 47
- hkl 2 1 2, 52.39°, I = 28
- hkl 3 0 0, 55.74°, I = 18

Structural model:
a = 5.712 Å, b = 5.712 Å, c = 9.781 Å
α = 90.00°, β = 90.00°, γ = 120.00°
Fractional coordinates of all 18 atoms:
Pm 0.333 0.667 0.250
Pm 0.667 0.333 0.750
Pr 0.000 0.000 0.000
Pr 0.000 0.000 0.500
W 0.333 0.667 0.750
W 0.667 0.333 0.250
O 0.050 0.379 0.638
O 0.050 0.671 0.862
O 0.329 0.379 0.862
O 0.329 0.950 0.638
O 0.379 0.050 0.138
O 0.379 0.329 0.362
O 0.621 0.671 0.638
O 0.621 0.950 0.862
O 0.671 0.050 0.362
O 0.671 0.621 0.138
O 0.950 0.329 0.138
O 0.950 0.621 0.362